Record 1
The following is a calculated X-ray powder pattern of Hf3Ti3Al5. It was derived from a cell relaxed with GGA-PBE, using Cu Kα (λ = 1.5418 Å).
Neutral-atom scattering factors, no anomalous dispersion.

Peak list (8 most intense, 2θ = 10–80°, sorted by position)
2θ = 14.49°, I 83
2θ = 24.16°, I 94
2θ = 26.84°, I 57
2θ = 33.79°, I 64
2θ = 36.18°, I 55
2θ = 38.54°, I 100
2θ = 39.21°, I 93
2θ = 41.64°, I 59

Cell and atoms:
```
data_Hf3Ti3Al5
_chemical_formula_sum 'Hf6 Ti6 Al10'
_space_group_name_H-M_alt 'C 1 m 1'
_space_group_IT_number 8
_cell_length_a 14.8615
_cell_length_b 4.3379
_cell_length_c 6.9749
_cell_angle_alpha 90.00
_cell_angle_beta 116.60
_cell_angle_gamma 90.00
loop_
_space_group_symop_operation_xyz
'x,y,z'
'x,-y,z'
'x+1/2,y+1/2,z'
'x+1/2,-y+1/2,z'
loop_
_atom_site_label
_atom_site_fract_x
_atom_site_fract_y
_atom_site_fract_z
Hf1 0.0000 0.0000 0.0000
Hf2 0.0262 0.5000 0.3437
Hf3 0.2910 0.5000 0.6168
Ti1 0.0176 0.5000 0.7570
Ti2 0.1660 0.0000 0.8459
Ti3 0.3257 0.5000 0.0855
Al1 0.1595 0.0000 0.4394
Al2 0.1645 0.5000 0.1608
Al3 0.3220 0.0000 0.3421
Al4 0.3624 0.0000 0.9037
Al5 0.4662 0.5000 0.5189
```

***

Record 2
The following is a calculated X-ray powder pattern of Hf5Ti3Al3. It was derived from a cell relaxed with GGA-PBE, using Cu Kα (λ = 1.5418 Å).
Neutral-atom scattering factors, no anomalous dispersion.

Peak list (8 most intense, 2θ = 10–80°, sorted by position)
2θ = 18.94°, I 70
2θ = 30.67°, I 48
2θ = 33.11°, I 100
2θ = 36.29°, I 51
2θ = 38.42°, I 26
2θ = 45.76°, I 68
2θ = 49.94°, I 31
2θ = 77.85°, I 24

Cell and atoms:
```
data_Hf5Ti3Al3
_chemical_formula_sum 'Hf5 Ti3 Al3'
_space_group_name_H-M_alt 'P -6 2 m'
_space_group_IT_number 189
_space_group_name_Hall 'P -6 -2'
_cell_length_a 9.3712
_cell_length_b 9.3712
_cell_length_c 2.9153
_cell_angle_alpha 90.00
_cell_angle_beta 90.00
_cell_angle_gamma 120.00
loop_
_atom_site_label
_atom_site_fract_x
_atom_site_fract_y
_atom_site_fract_z
Hf1 0.0000 0.6614 0.0000
Hf2 0.3333 0.6667 0.0000
Ti1 0.0000 0.1611 0.0000
Al1 0.0000 0.4037 0.5000
```